Computed X-ray powder pattern
Compound: LiFeSiO4
Radiation: Cu Kα, 1.54184 Å
Structure: a structure optimized by DFT (PBE+U)

Structure:
```
data_LiFeSiO4
_cell_length_a 8.6737
_cell_length_b 8.6737
_cell_length_c 8.6737
_cell_angle_alpha 107.98
_cell_angle_beta 107.98
_cell_angle_gamma 107.98
_space_group_name_H-M_alt 'P 1'
_space_group_IT_number 1
loop_
_space_group_symop_operation_xyz
'x,y,z'
loop_
_atom_site_label
_atom_site_type_symbol
_atom_site_fract_x
_atom_site_fract_y
_atom_site_fract_z
_atom_site_occupancy
Li1 Li 0.0868 0.2585 0.8730 1
Li2 Li 0.1270 0.9132 0.7415 1
Li3 Li 0.2585 0.8730 0.0868 1
Li4 Li 0.7415 0.1270 0.9132 1
Li5 Li 0.8730 0.0868 0.2585 1
Li6 Li 0.9132 0.7415 0.1270 1
Fe1 Fe 0.1920 0.4258 0.6065 1
Fe2 Fe 0.3935 0.8080 0.5742 1
Fe3 Fe 0.4258 0.6065 0.1920 1
Fe4 Fe 0.5742 0.3935 0.8080 1
Fe5 Fe 0.6065 0.1920 0.4258 1
Fe6 Fe 0.8080 0.5742 0.3935 1
Si1 Si 0.0520 0.4601 0.2292 1
Si2 Si 0.2292 0.0520 0.4601 1
Si3 Si 0.4601 0.2292 0.0520 1
Si4 Si 0.5399 0.7708 0.9480 1
Si5 Si 0.7708 0.9480 0.5399 1
Si6 Si 0.9480 0.5399 0.7708 1
O1 O 0.0193 0.6808 0.9737 1
O2 O 0.0263 0.9807 0.3192 1
O3 O 0.0483 0.3626 0.3670 1
O4 O 0.0634 0.4212 0.7425 1
O5 O 0.2575 0.9366 0.5788 1
O6 O 0.2757 0.6141 0.3227 1
O7 O 0.3192 0.0263 0.9807 1
O8 O 0.3227 0.2757 0.6141 1
O9 O 0.3626 0.3670 0.0483 1
O10 O 0.3670 0.0483 0.3626 1
O11 O 0.3859 0.6773 0.7243 1
O12 O 0.4212 0.7425 0.0634 1
O13 O 0.5788 0.2575 0.9366 1
O14 O 0.6141 0.3227 0.2757 1
O15 O 0.6330 0.9517 0.6374 1
O16 O 0.6374 0.6330 0.9517 1
O17 O 0.6773 0.7243 0.3859 1
O18 O 0.6808 0.9737 0.0193 1
O19 O 0.7243 0.3859 0.6773 1
O20 O 0.7425 0.0634 0.4212 1
O21 O 0.9366 0.5788 0.2575 1
O22 O 0.9517 0.6374 0.6330 1
O23 O 0.9737 0.0193 0.6808 1
O24 O 0.9807 0.3192 0.0263 1
```

Top 10 peaks for 5 to 70 degrees two-theta, by angle:
- 11.99°, rel. 100
- 12.62°, rel. 40
- 21.58°, rel. 43
- 21.94°, rel. 28
- 25.39°, rel. 89
- 27.30°, rel. 71
- 31.58°, rel. 98
- 33.80°, rel. 91
- 48.79°, rel. 43
- 65.33°, rel. 50